Theoretical powder diffractogram of Li2TlSb2 for Cu Kα, from a DFT-relaxed cell (GGA-PBE, Alexandria).

Main lines, by angle (10° ≤ 2θ ≤ 80°):
- 2θ = 11.8°, I = 17
- 2θ = 23.5°, I = 72
- 2θ = 25.1°, I = 100
- 2θ = 32.7°, I = 98
- 2θ = 36.0°, I = 20
- 2θ = 37.8°, I = 23
- 2θ = 42.2°, I = 28
- 2θ = 43.4°, I = 26
- 2θ = 44.9°, I = 26
- 2θ = 47.4°, I = 32
- 2θ = 58.9°, I = 21
- 2θ = 65.0°, I = 16

Structure:
Cell: 4.4791 4.4791 7.4788 Å, 90.00 90.00 115.75°
Positions (direct):
Li 0.1683 0.8317 0.0000
Li 0.8317 0.1683 0.0000
Tl 0.0000 0.0000 0.5000
Sb 0.5000 0.5000 0.1930
Sb 0.5000 0.5000 0.8070

Theoretical powder diffractogram of PaTiAgS4 for Cu Kα, from a DFT-relaxed cell (GGA-PBE, Alexandria).

Main lines, by angle (10° ≤ 2θ ≤ 80°):
- 2θ = 14.8°, I = 69
- 2θ = 24.4°, I = 33
- 2θ = 26.4°, I = 100
- 2θ = 27.7°, I = 22
- 2θ = 28.1°, I = 20
- 2θ = 28.4°, I = 65
- 2θ = 32.9°, I = 30
- 2θ = 34.3°, I = 19
- 2θ = 37.3°, I = 30
- 2θ = 44.2°, I = 47
- 2θ = 48.3°, I = 51
- 2θ = 53.5°, I = 24

Structure:
Cell: 7.5700 7.5700 7.5700 Å, 122.41 114.60 92.74°
Positions (direct):
Pa 0.0000 0.0000 0.0000
Pa 0.5000 0.0000 0.5000
Ti 0.5000 0.0000 0.0000
Ti 0.5000 0.5000 0.5000
Ag 0.0861 0.3361 0.7500
Ag 0.9139 0.6639 0.2500
S 0.2595 0.2507 0.4913
S 0.2595 0.7682 0.0087
S 0.2842 0.7459 0.5383
S 0.2924 0.2541 0.0383
S 0.7076 0.7459 0.9617
S 0.7158 0.2541 0.4617
S 0.7405 0.2318 0.9913
S 0.7405 0.7493 0.5087

Theoretical powder diffractogram of CaAl10Tc2 for Cu Kα, from a DFT-relaxed cell (GGA-PBE, Alexandria).

Main lines, by angle (10° ≤ 2θ ≤ 80°):
- 2θ = 17.1°, I = 80
- 2θ = 19.2°, I = 57
- 2θ = 19.4°, I = 59
- 2θ = 25.8°, I = 39
- 2θ = 27.4°, I = 40
- 2θ = 38.9°, I = 48
- 2θ = 39.3°, I = 39
- 2θ = 39.4°, I = 50
- 2θ = 39.8°, I = 69
- 2θ = 39.9°, I = 59
- 2θ = 43.9°, I = 39
- 2θ = 44.6°, I = 100

Structure:
Cell: 6.9233 6.9233 9.2521 Å, 90.00 90.00 97.31°
Positions (direct):
Ca 0.1261 0.8739 0.7500
Ca 0.8739 0.1261 0.2500
Al 0.1351 0.4075 0.7500
Al 0.1551 0.8449 0.0985
Al 0.1551 0.8449 0.4015
Al 0.2171 0.4710 0.2500
Al 0.2292 0.2292 0.0000
Al 0.2292 0.2292 0.5000
Al 0.3755 0.6245 0.5383
Al 0.3755 0.6245 0.9617
Al 0.4075 0.1351 0.2500
Al 0.4710 0.2171 0.7500
Al 0.5290 0.7829 0.2500
Al 0.5925 0.8649 0.7500
Al 0.6245 0.3755 0.0383
Al 0.6245 0.3755 0.4617
Al 0.7708 0.7708 0.0000
Al 0.7708 0.7708 0.5000
Al 0.7829 0.5290 0.7500
Al 0.8449 0.1551 0.5985
Al 0.8449 0.1551 0.9015
Al 0.8649 0.5925 0.2500
Tc 0.0000 0.5000 0.0000
Tc 0.0000 0.5000 0.5000
Tc 0.5000 0.0000 0.0000
Tc 0.5000 0.0000 0.5000

Theoretical powder diffractogram of CsLaSi2 for Cu Kα, from a DFT-relaxed cell (GGA-PBE, Alexandria).

Main lines, by angle (10° ≤ 2θ ≤ 80°):
- 2θ = 22.8°, I = 50
- 2θ = 32.4°, I = 100
- 2θ = 40.0°, I = 16
- 2θ = 46.5°, I = 18
- 2θ = 52.4°, I = 21
- 2θ = 57.8°, I = 37
- 2θ = 67.9°, I = 12
- 2θ = 72.6°, I = 10
- 2θ = 77.2°, I = 16

Structure:
Cell: 5.5245 5.5245 5.5245 Å, 60.00 60.00 60.00°
Positions (direct):
Cs 0.0000 0.0000 0.0000
La 0.5000 0.5000 0.5000
Si 0.2500 0.2500 0.2500
Si 0.7500 0.7500 0.7500